Calculated powder X-ray diffraction pattern of Ac4AgN for Cu Kα, 1.54184 Å, from a GGA-PBE-relaxed structure.

abc: 9.986 7.384 5.832
angles: 90.00 90.00 90.00
Space group Pmn2_1 (No. 31)
Asymmetric unit:
Ac 0.000 0.110 0.000 (multiplicity 2)
Ac 0.000 0.790 0.508 (multiplicity 2)
Ac 0.203 0.295 0.509 (multiplicity 4)
Ag 0.000 0.539 0.018 (multiplicity 2)
N 0.000 0.117 0.565 (multiplicity 2)

The 8 most intense peaks (5 to 70 degrees two-theta), low angle first:
d 3.374, 26.42 deg, rel. 1000, (2 1 1); d 3.119, 28.62 deg, rel. 329, (0 2 1); d 3.035, 29.43 deg, rel. 150, (3 1 0); d 2.976, 30.02 deg, rel. 370, (1 2 1); d 2.916, 30.66 deg, rel. 388, (0 0 2); d 2.208, 40.87 deg, rel. 152, (2 3 0); d 1.760, 51.96 deg, rel. 338, (2 1 3); d 1.682, 54.56 deg, rel. 154, (5 2 1)

***

Calculated powder X-ray diffraction pattern of Ac2AgN for Cu Kα, 1.54184 Å, from a GGA-PBE-relaxed structure.

abc: 5.845 6.163 7.478
angles: 90.00 112.93 90.00
Space group P2/m (No. 10)
Asymmetric unit:
Ac 0.115 0.000 0.299 (multiplicity 2)
Ac 0.316 0.500 0.701 (multiplicity 2)
Ag 0.000 0.500 0.000 (multiplicity 1)
Ag 0.500 0.000 0.000 (multiplicity 1)
N 0.000 0.250 0.500 (multiplicity 2)

The 8 most intense peaks (5 to 70 degrees two-theta), low angle first:
d 4.053, 21.93 deg, rel. 137, (1 1 0); d 3.115, 28.65 deg, rel. 1000, (1 1 1); d 3.082, 28.97 deg, rel. 260, (0 2 0); d 2.923, 30.59 deg, rel. 194, (2 0 -1); d 2.296, 39.24 deg, rel. 137, (0 0 3); d 2.121, 42.64 deg, rel. 176, (2 2 -1); d 1.785, 51.16 deg, rel. 275, (1 3 1); d 1.722, 53.19 deg, rel. 146, (3 1 -3)

***

Calculated powder X-ray diffraction pattern of Ac6Ag2N for Cu Kα, 1.54184 Å, from a GGA-PBE-relaxed structure.

abc: 7.121 7.869 13.036
angles: 90.00 122.32 90.00
Space group P2_1/c (No. 14)
Asymmetric unit:
Ac 0.107 0.027 0.237 (multiplicity 4)
Ac 0.215 0.705 0.055 (multiplicity 4)
Ac 0.369 0.177 0.053 (multiplicity 4)
Ag 0.316 0.101 0.747 (multiplicity 4)
N 0.000 0.000 0.000 (multiplicity 2)

The 8 most intense peaks (5 to 70 degrees two-theta), low angle first:
d 3.285, 27.15 deg, rel. 686, (1 0 2); d 3.244, 27.49 deg, rel. 852, (1 0 -4); d 3.202, 27.87 deg, rel. 1000, (0 2 2); d 3.122, 28.59 deg, rel. 355, (2 1 -1); d 3.101, 28.79 deg, rel. 518, (2 1 -3); d 3.003, 29.75 deg, rel. 351, (1 1 -4); d 2.929, 30.52 deg, rel. 317, (1 2 1); d 2.911, 30.71 deg, rel. 308, (1 2 -3)

***

Calculated powder X-ray diffraction pattern of Na2AcAg for Cu Kα, 1.54184 Å, from a GGA-PBE-relaxed structure.

abc: 3.5892 3.5892 36.0743
angles: 90.00 90.00 120.00
Space group R-3m (No. 166, hexagonal axes)
Asymmetric unit:
Na 0.0000 0.0000 0.1012 (multiplicity 6)
Ac 0.0000 0.0000 0.0000 (multiplicity 3)
Ag 0.0000 0.0000 0.5000 (multiplicity 3)

The 8 most intense peaks (5 to 70 degrees two-theta), low angle first:
d 12.025, 7.35 deg, rel. 371, (0 0 3); d 6.012, 14.73 deg, rel. 1000, (0 0 6); d 3.063, 29.15 deg, rel. 848, (0 1 2); d 3.006, 29.72 deg, rel. 264, (0 0 12); d 2.939, 30.42 deg, rel. 537, (1 0 4); d 2.559, 35.06 deg, rel. 533, (0 1 8); d 2.355, 38.22 deg, rel. 499, (1 0 10); d 1.720, 53.27 deg, rel. 240, (1 1 6)